Record 1
Structure and simulated PXRD pattern of LiCa2AlGa6 (the GGA-PBE geometry in Alexandria; copper Kα).

Atomic structure:
Cell lengths 6.4040, 6.4040, 35.4821 Å; angles 90.00, 90.00, 120.00 degrees
Space group R-3m (No. 166, hexagonal axes)
Symmetry-distinct sites (fractional):
Li (0.0000, 0.0000, 0.0796) x6
Ca (0.0000, 0.0000, 0.1896) x6
Ca (0.0000, 0.0000, 0.3612) x6
Al (0.0000, 0.0000, 0.0000) x3
Al (0.0000, 0.0000, 0.5000) x3
Ga (0.0496, 0.5248, 0.2251) x18
Ga (0.0592, 0.5296, 0.3841) x18

Top 8 peaks for 2θ from 15° to 90°, by angle:
31.8 deg, d 2.816, I = 29.6
32.1 deg, d 2.788, I = 40.3
34.7 deg, d 2.583, I = 100.0
36.9 deg, d 2.433, I = 63.2
38.3 deg, d 2.351, I = 36.6
46.7 deg, d 1.945, I = 34.6
51.8 deg, d 1.764, I = 38.2
57.6 deg, d 1.601, I = 29.5

***

Record 2
Structure and simulated PXRD pattern of Ca2AlGa3Pt4 (the GGA-PBE geometry in Alexandria; copper Kα).

Atomic structure:
Cell lengths 4.167, 4.167, 10.940 Å; angles 90.00, 90.00, 90.00 degrees
Space group P-4m2 (No. 115)
Symmetry-distinct sites (fractional):
Ca (0.000, 0.500, 0.250) x2
Al (0.000, 0.000, 0.500) x1
Ga (0.000, 0.500, 0.865) x2
Ga (0.500, 0.500, 0.500) x1
Pt (0.000, 0.000, 0.000) x1
Pt (0.000, 0.500, 0.635) x2
Pt (0.500, 0.500, 0.000) x1

Top 8 peaks for 2θ from 15° to 90°, by angle:
16.2 deg, d 5.470, I = 41.7
22.8 deg, d 3.894, I = 69.4
31.4 deg, d 2.845, I = 60.2
32.6 deg, d 2.744, I = 42.5
34.6 deg, d 2.594, I = 100.0
43.4 deg, d 2.084, I = 79.0
45.2 deg, d 2.005, I = 98.1
81.0 deg, d 1.187, I = 36.7

***

Record 3
Structure and simulated PXRD pattern of Ca2Sm2AlGa4 (the GGA-PBE geometry in Alexandria; copper Kα).

Atomic structure:
Cell lengths 7.193, 7.193, 8.957 Å; angles 90.00, 90.00, 90.00 degrees
Space group I4/mmm (No. 139)
Symmetry-distinct sites (fractional):
Ca (0.000, 0.500, 0.250) x4
Sm (0.000, 0.000, 0.182) x4
Al (0.000, 0.000, 0.500) x2
Ga (0.244, 0.244, 0.500) x8

Top 8 peaks for 2θ from 15° to 90°, by angle:
17.4 deg, d 5.086, I = 41.7
31.9 deg, d 2.804, I = 100.0
32.5 deg, d 2.758, I = 33.3
35.3 deg, d 2.543, I = 62.8
41.3 deg, d 2.188, I = 30.3
50.8 deg, d 1.798, I = 21.7
55.4 deg, d 1.659, I = 16.4
61.2 deg, d 1.514, I = 29.1

***

Record 4
Structure and simulated PXRD pattern of SrCa2Al2Ga2 (the GGA-PBE geometry in Alexandria; copper Kα).

Atomic structure:
Cell lengths 4.5433, 4.5433, 30.9796 Å; angles 90.00, 90.00, 120.00 degrees
Space group R-3m (No. 166, hexagonal axes)
Symmetry-distinct sites (fractional):
Sr (0.0000, 0.0000, 0.0000) x3
Ca (0.0000, 0.0000, 0.1300) x6
Al (0.0000, 0.0000, 0.4068) x6
Ga (0.0000, 0.0000, 0.2545) x6

Top 8 peaks for 2θ from 15° to 90°, by angle:
22.8 deg, d 3.903, I = 23.7
25.4 deg, d 3.508, I = 23.1
30.4 deg, d 2.941, I = 59.3
32.4 deg, d 2.760, I = 100.0
39.7 deg, d 2.272, I = 81.4
52.1 deg, d 1.754, I = 24.8
60.6 deg, d 1.528, I = 23.6
67.5 deg, d 1.388, I = 22.1

***

Record 5
Structure and simulated PXRD pattern of CaAlZn2Ga (the GGA-PBE geometry in Alexandria; copper Kα).

Atomic structure:
Cell lengths 4.098, 4.149, 11.398 Å; angles 90.00, 90.00, 90.00 degrees
Space group Imm2 (No. 44)
Symmetry-distinct sites (fractional):
Ca (0.000, 0.000, 0.000) x2
Al (0.000, 0.500, 0.748) x2
Zn (0.000, 0.000, 0.611) x2
Zn (0.000, 0.500, 0.251) x2
Ga (0.000, 0.000, 0.391) x2

Top 8 peaks for 2θ from 15° to 90°, by angle:
22.8 deg, d 3.899, I = 32.8
23.1 deg, d 3.856, I = 33.7
31.9 deg, d 2.802, I = 31.2
32.1 deg, d 2.786, I = 32.2
34.6 deg, d 2.596, I = 100.0
43.6 deg, d 2.074, I = 36.9
44.2 deg, d 2.049, I = 35.5
44.5 deg, d 2.038, I = 63.5

***

Record 6
Structure and simulated PXRD pattern of Ca4Al5Ge6 (the GGA-PBE geometry in Alexandria; copper Kα).

Atomic structure:
Cell lengths 4.347, 19.315, 15.717 Å; angles 90.00, 90.00, 90.00 degrees
Space group Cmc2_1 (No. 36)
Symmetry-distinct sites (fractional):
Ca (0.000, 0.007, 0.000) x4
Ca (0.000, 0.029, 0.270) x4
Ca (0.000, 0.168, 0.810) x4
Ca (0.000, 0.177, 0.445) x4
Al (0.000, 0.148, 0.130) x4
Al (0.000, 0.298, 0.127) x4
Al (0.000, 0.347, 0.770) x4
Al (0.000, 0.356, 0.485) x4
Al (0.000, 0.434, 0.185) x4
Ge (0.000, 0.119, 0.621) x4
Ge (0.000, 0.218, 0.993) x4
Ge (0.000, 0.225, 0.263) x4
Ge (0.000, 0.429, 0.901) x4
Ge (0.000, 0.431, 0.630) x4
Ge (0.000, 0.442, 0.356) x4

Top 8 peaks for 2θ from 15° to 90°, by angle:
24.5 deg, d 3.640, I = 39.5
25.4 deg, d 3.512, I = 56.7
29.3 deg, d 3.048, I = 39.7
31.0 deg, d 2.885, I = 97.4
35.5 deg, d 2.528, I = 100.0
41.5 deg, d 2.174, I = 74.3
45.3 deg, d 2.004, I = 69.2
47.7 deg, d 1.906, I = 53.4

***

Record 7
Structure and simulated PXRD pattern of Ca3AlGe2 (the GGA-PBE geometry in Alexandria; copper Kα).

Atomic structure:
Cell lengths 11.880, 4.318, 12.275 Å; angles 90.00, 90.00, 90.00 degrees
Space group Pnma (No. 62)
Symmetry-distinct sites (fractional):
Ca (0.067, 0.250, 0.114) x4
Ca (0.128, 0.750, 0.558) x4
Ca (0.193, 0.250, 0.804) x4
Al (0.138, 0.250, 0.360) x4
Ge (0.029, 0.750, 0.318) x4
Ge (0.193, 0.750, 0.988) x4

Top 8 peaks for 2θ from 15° to 90°, by angle:
20.8 deg, d 4.268, I = 48.2
29.4 deg, d 3.036, I = 55.8
30.1 deg, d 2.970, I = 97.6
31.0 deg, d 2.884, I = 100.0
31.5 deg, d 2.840, I = 55.8
34.0 deg, d 2.636, I = 73.4
39.7 deg, d 2.272, I = 93.6
41.8 deg, d 2.159, I = 65.8

***

Record 8
Structure and simulated PXRD pattern of LiCaAlH6 (the GGA-PBE geometry in Alexandria; copper Kα).

Atomic structure:
Cell lengths 4.7820, 4.7820, 9.2982 Å; angles 90.00, 90.00, 120.00 degrees
Space group P-31c (No. 163)
Symmetry-distinct sites (fractional):
Li (0.3333, 0.6667, 0.2500) x2
Ca (0.0000, 0.0000, 0.0000) x2
Al (0.3333, 0.6667, 0.7500) x2
H (0.0233, 0.3833, 0.6423) x12

Top 8 peaks for 2θ from 15° to 90°, by angle:
21.5 deg, d 4.141, I = 19.2
23.5 deg, d 3.783, I = 19.5
28.9 deg, d 3.092, I = 100.0
37.6 deg, d 2.391, I = 34.1
38.7 deg, d 2.325, I = 9.4
48.1 deg, d 1.892, I = 21.5
55.1 deg, d 1.667, I = 24.7
62.6 deg, d 1.483, I = 18.6

***

Which formula does entry 4 have? SrCa2Al2Ga2

***

Which formula does entry 7 have? Ca3AlGe2